The following is a theoretical X-ray diffraction stick pattern of LiBeH3. It was derived from the GGA-PBE geometry in the Materials Project, using Cu Kα, 1.54184 Å.

Cell and atoms:
```
10
Lattice="4.595 -1.940 0.000 4.595 1.940 0.000 -0.894 0.000 5.050" Properties=species:S:1:pos:R:3 pbc="T T T"
Li 0.817 0.000 1.851
Li 7.480 0.000 3.199
Be 1.295 -0.209 4.300
Be 7.001 -0.209 0.751
H 0.069 0.044 3.663
H 2.345 0.281 0.592
H 2.370 0.037 3.394
H 5.951 0.281 4.459
H 5.926 0.037 1.657
H 8.228 0.044 1.387
```

Principal peaks in the range 5 to 70 degrees two-theta, by intensity:
19.62 deg, d 4.525, I 100; 24.98 deg, d 3.565, I 39; 29.66 deg, d 3.012, I 25; 46.83 deg, d 1.940, I 23; 42.42 deg, d 2.131, I 22; 28.69 deg, d 3.111, I 18; 40.76 deg, d 2.214, I 12; 39.56 deg, d 2.278, I 11; 44.01 deg, d 2.058, I 11; 62.21 deg, d 1.492, I 11